Ba2MgB6O12: computed X-ray powder pattern (copper Kα), based on a crystal structure in the Materials Project, relaxed with PBE.
Peak positions follow from Bragg's law for the DFT cell and can differ from measured ones.

Main lines, most intense first (5 to 70 degrees two-theta):
29.9°, rel. 100.0
24.9°, rel. 96.0
39.9°, rel. 62.2
17.7°, rel. 61.8
29.5°, rel. 53.6
30.7°, rel. 43.5
47.1°, rel. 36.6
44.1°, rel. 34.3
39.3°, rel. 31.1
15.6°, rel. 25.3

Cell and atoms:
a b c (Å): 7.028 7.028 7.028
angles (deg): 61.15 61.15 61.15
Positions (direct):
Ba1 0.209 0.209 0.209
Ba2 0.791 0.791 0.791
Mg1 0.000 0.000 0.000
B1 0.244 0.635 0.355
B2 0.355 0.244 0.635
B3 0.365 0.645 0.756
B4 0.635 0.355 0.244
B5 0.645 0.756 0.365
B6 0.756 0.365 0.645
O1 0.086 0.841 0.310
O2 0.159 0.690 0.914
O3 0.196 0.466 0.573
O4 0.310 0.086 0.841
O5 0.427 0.804 0.534
O6 0.466 0.573 0.196
O7 0.534 0.427 0.804
O8 0.573 0.196 0.466
O9 0.690 0.914 0.159
O10 0.804 0.534 0.427
O11 0.841 0.310 0.086
O12 0.914 0.159 0.690